# VCd2BiO6
Simulated XRD peak list, CuKα. Input: a crystal structure in Alexandria, relaxed with PBE+U.

The 10 most intense peaks (2θ from 10° to 90°), in order of rising 2θ:
two_theta  Rel. int.
12.55  15
20.01  17
29.67  37
29.78  100
31.17  13
31.34  24
44.55  16
44.79  16
49.95  12
54.82  18

Atomic structure:
```
data_VCd2BiO6
_chemical_formula_sum 'V2 Cd4 Bi2 O12'
_symmetry_space_group_name_H-M 'P 1'
_symmetry_Int_Tables_number 1
_symmetry_space_group_name_Hall 'P 1'
_cell_length_a 7.3042
_cell_length_b 7.3042
_cell_length_c 5.7082
_cell_angle_alpha 90.00
_cell_angle_beta 90.00
_cell_angle_gamma 105.07
loop_
_atom_site_label
_atom_site_type_symbol
_atom_site_fract_x
_atom_site_fract_y
_atom_site_fract_z
V1 V 0.1692 0.8308 0.5000
V2 V 0.8308 0.1692 0.0000
Cd1 Cd 0.0920 0.3162 0.5061
Cd2 Cd 0.3162 0.0920 0.0061
Cd3 Cd 0.6838 0.9080 0.5061
Cd4 Cd 0.9080 0.6838 0.0061
Bi1 Bi 0.4047 0.5953 0.0191
Bi2 Bi 0.5953 0.4047 0.5191
O1 O 0.0211 0.9789 0.4836
O2 O 0.0675 0.6159 0.3566
O3 O 0.2048 0.7952 0.8019
O4 O 0.3406 0.3501 0.7625
O5 O 0.3501 0.3406 0.2625
O6 O 0.3841 0.9325 0.3566
O7 O 0.6159 0.0675 0.8566
O8 O 0.6499 0.6594 0.7625
O9 O 0.6594 0.6499 0.2625
O10 O 0.7952 0.2048 0.3019
O11 O 0.9325 0.3841 0.8566
O12 O 0.9789 0.0211 0.9836
```